Diffraction record for Fe5TeP6O24. The X-ray powder pattern is theoretical, not measured: it uses a cell relaxed with GGA+U and Cu Kα.
Kinematic intensities with the Lorentz-polarization factor, no thermal factor.

Crystal structure
Cell lengths 8.7438, 8.7438, 20.7356 Å; angles 90.00, 90.00, 120.00 degrees
Space group R3 (No. 146, hexagonal axes)
Symmetry-distinct sites (fractional):
Fe (0.0000, 0.0000, 0.0000)
Fe (0.0000, 0.0000, 0.1414)
Fe (0.0000, 0.0000, 0.3497)
Fe (0.0000, 0.0000, 0.4959)
Fe (0.0000, 0.0000, 0.6439)
Te (0.0000, 0.0000, 0.8519)
P (0.0075, 0.7110, 0.2462)
P (0.0289, 0.3612, 0.4135)
O (0.0044, 0.2184, 0.8110)
O (0.0069, 0.1721, 0.4226)
O (0.0149, 0.8256, 0.9249)
O (0.0212, 0.8134, 0.3074)
O (0.1417, 0.4654, 0.3560)
O (0.1416, 0.6738, 0.8525)
O (0.1639, 0.4886, 0.7385)
O (0.1704, 0.6810, 0.2358)

The 6 most intense peaks (2θ from 15° to 90°), by angle:
2θ/deg, intensity, hkl
20.31, 100, 1 1 0
24.09, 84, 1 1 3
33.04, 76, 1 1 6
35.57, 46, 3 0 0
47.32, 27, 1 2 8
49.33, 30, 4 -2 6